# Li4Pu3NiO12
Theoretical powder XRD pattern, CuKα. Input: a crystal structure in Alexandria, relaxed with PBE+U.
Lines closer than 0.1° are merged.

Largest 8 diffraction maxima, sorted by position, 15° ≤ 2θ ≤ 90°:
| two_theta | I/Imax | h k l |
| --- | --- | --- |
| 16.07 | 71 | 1 1 0 |
| 21.89 | 100 | 0 2 1 |
| 27.27 | 30 | 2 1 1 |
| 29.79 | 53 | 2 0 2 |
| 32.46 | 18 | 2 2 0 |
| 35.83 | 29 | 1 3 1 |
| 41.35 | 41 | 3 1 2 |
| 54.80 | 17 | 5 1 1 |

Structural model:
Cell lengths 11.0339, 11.0339, 7.7034 Å; angles 90.00, 90.00, 120.00 degrees
Space group R32 (No. 155, hexagonal axes)
One atom of each set of equivalent atoms:
Li 0.0000 0.0000 0.0000 x3
Li 0.0000 0.4392 0.0000 x9
Pu 0.0000 0.5544 0.5000 x9
Ni 0.0000 0.0000 0.5000 x3
O 0.0000 0.6084 0.0000 x9
O 0.0000 0.8368 0.0000 x9
O 0.0580 0.2104 0.6757 x18